Starting from a GGA-PBE-relaxed structure, the PXRD pattern of Nd3Er7Sc2 was calculated for Cu Kα (λ = 1.5418 Å).

Crystal structure
Cell: 3.571 5.492 20.142 Å, 90.00 95.16 90.00°
Fractional coordinates of all 12 atoms:
Nd: 0.000 0.000 0.000
Nd: 0.325 0.500 0.661
Nd: 0.675 0.500 0.339
Er: 0.093 0.500 0.175
Er: 0.215 0.000 0.430
Er: 0.427 0.000 0.862
Er: 0.500 0.500 0.000
Er: 0.573 0.000 0.138
Er: 0.785 0.000 0.570
Er: 0.907 0.500 0.825
Sc: 0.144 0.000 0.274
Sc: 0.856 0.000 0.726

Top 10 peaks for 10° ≤ 2θ ≤ 90°, by intensity:
31.9°, I 100.0, (1 1 2); 32.6°, I 44.2, (0 2 0); 33.8°, I 32.7, (1 1 -4); 32.1°, I 26.1, (1 0 -5); 31.3°, I 22.6, (0 1 6); 35.3°, I 19.1, (0 1 7); 46.4°, I 18.8, (1 2 -5); 57.7°, I 18.7, (1 3 2); 18.4°, I 17.2, (0 1 2); 62.0°, I 13.9, (2 2 -1)